The following is a computed XRD peak list of AcNd5Dy3. It was derived from a structure optimized by DFT (PBE), using copper Kα.
Neutral-atom scattering factors, no anomalous dispersion.

Peak list (6 most intense, 2θ from 10° to 90°, sorted by position)
d/Å, two_theta, I/Imax
3.143, 28.39, 33
2.988, 29.90, 100
2.781, 32.18, 35
2.451, 36.67, 18
2.386, 37.71, 20
1.636, 56.24, 12

Structure:
a = 10.8217 Å, b = 10.8217 Å, c = 10.8217 Å
α = 140.08°, β = 67.96°, γ = 127.47°
Fractional positions:
Ac  0.3558  0.1058  0.2500
Ac  0.6442  0.8942  0.7500
Nd  0.1563  0.3315  0.3403
Nd  0.1563  0.8160  0.8249
Nd  0.2807  0.5307  0.7500
Nd  0.4911  0.3315  0.6751
Nd  0.4911  0.8160  0.1597
Nd  0.5089  0.1840  0.8403
Nd  0.5089  0.6685  0.3249
Nd  0.7193  0.4693  0.2500
Nd  0.8437  0.1840  0.1751
Nd  0.8437  0.6685  0.6597
Dy  0.0000  0.0000  0.5000
Dy  0.0000  0.5000  0.0000
Dy  0.1720  0.2445  0.9274
Dy  0.1829  0.7555  0.4274
Dy  0.8171  0.2445  0.5726
Dy  0.8280  0.7555  0.0726



The following is a computed XRD peak list of Ac3Nd7Dy2. It was derived from a structure optimized by DFT (PBE), using copper Kα.
Neutral-atom scattering factors, no anomalous dispersion.

Peak list (6 most intense, 2θ from 10° to 90°, sorted by position)
d/Å, two_theta, I/Imax
2.999, 29.79, 29
2.981, 29.98, 100
2.944, 30.36, 29
2.933, 30.47, 59
2.815, 31.79, 49
2.667, 33.60, 41

Structure:
a = 3.7990 Å, b = 5.8666 Å, c = 21.0503 Å
α = 90.00°, β = 95.18°, γ = 90.00°
Fractional positions:
Ac  0.0000  0.0000  0.0000
Ac  0.3240  0.5000  0.6490
Ac  0.6760  0.5000  0.3510
Nd  0.0892  0.5000  0.1752
Nd  0.2179  0.0000  0.4355
Nd  0.4280  0.0000  0.8578
Nd  0.5000  0.5000  0.0000
Nd  0.5720  0.0000  0.1422
Nd  0.7821  0.0000  0.5645
Nd  0.9108  0.5000  0.8248
Dy  0.1401  0.0000  0.2793
Dy  0.8599  0.0000  0.7207